This entry pairs a crystal structure of DyEr5In2Bi with its simulated X-ray diffraction stick pattern. Radiation: Cu Kα, 1.54184 Å. Structure: a crystal structure in Alexandria, relaxed with PBE.

Largest 6 diffraction maxima, most intense first, 2θ = 15–90°:
2θ = 32.9°, intensity 1000, hkl 2 0 4; 2θ = 29.6°, intensity 542, hkl 2 2 0; 2θ = 30.1°, intensity 325, hkl 2 1 3; 2θ = 54.6°, intensity 217, hkl 4 2 4; 2θ = 33.1°, intensity 140, hkl 3 1 0; 2θ = 60.7°, intensity 136, hkl 2 2 8

Cell and atoms:
Cell lengths 8.5481, 8.5481, 14.1330 Å; angles 90.00, 90.00, 90.00 degrees
Space group I4/mcm (No. 140)
Unique sites:
Dy 0.0000 0.5000 0.2500 (multiplicity 4)
Er 0.0000 0.0000 0.0000 (multiplicity 4)
Er 0.2072 0.2928 0.1316 (multiplicity 16)
In 0.1110 0.3890 0.5000 (multiplicity 8)
Bi 0.0000 0.0000 0.2500 (multiplicity 4)